VHg2F5: computed powder XRD pattern (Cu Kα (λ = 1.5418 Å)), based on a cell relaxed with GGA+U.
Kinematic intensities with the Lorentz-polarization factor, no thermal factor.

Crystal structure
a = 5.2890 Å, b = 5.7637 Å, c = 6.4932 Å
α = 81.59°, β = 70.73°, γ = 63.44°
Element x y z (fractional)
V 0.0000 0.0000 0.0000
Hg 0.2559 0.4322 0.4826
Hg 0.6897 0.5722 0.4772
F 0.0063 0.6979 0.9447
F 0.2523 0.9996 0.7136
F 0.2701 0.9891 0.1111
F 0.7066 0.2858 0.9372
F 0.7479 0.0017 0.2869

Main lines, low angle first (2θ from 10° to 90°):
2θ = 14.45°, I 72, (0 0 1)
2θ = 17.20°, I 36, (0 1 0)
2θ = 22.54°, I 100, (0 1 1)
2θ = 29.14°, I 32, (0 0 2)
2θ = 34.03°, I 42, (0 1 2)
2θ = 35.98°, I 15, (2 1 0)
2θ = 38.14°, I 14, (2 0 1)
2θ = 38.26°, I 17, (2 1 2)
2θ = 47.24°, I 13, (2 2 -1)
2θ = 47.91°, I 26, (0 1 3)